VCrI: calculated powder XRD pattern (Cu Kα (λ = 1.5418 Å)), based on DFT lattice parameters and positions (GGA-PBE).
Peak positions follow from Bragg's law for the DFT cell and can differ from measured ones.

a = 11.307 Å, b = 5.785 Å, c = 4.125 Å
α = 90.00°, β = 90.00°, γ = 90.00°
Fractional positions:
V 0.166 0.117 0.250
V 0.166 0.383 0.750
V 0.834 0.617 0.250
V 0.834 0.883 0.750
Cr 0.005 0.122 0.750
Cr 0.005 0.378 0.250
Cr 0.995 0.622 0.750
Cr 0.995 0.878 0.250
I 0.326 0.001 0.750
I 0.326 0.499 0.250
I 0.674 0.501 0.750
I 0.674 0.999 0.250

Largest 12 diffraction maxima, in order of rising 2θ, 2θ from 10° to 90°:
(hkl)  2θ/deg  intensity
2 0 0  15.7  11
3 0 0  23.6  37
1 1 1  27.7  39
0 2 0  31.0  100
3 2 0  39.3  17
2 2 1  41.3  12
4 1 1  41.8  48
0 0 2  43.9  22
3 2 1  45.2  17
6 0 0  48.3  16
1 3 1  53.0  18
6 0 2  67.3  11